This entry pairs a crystal structure of Tl7HgAu2 with its calculated X-ray powder pattern. Radiation: Cu Kα (weighted mean of Kα1 and Kα2). Structure: a DFT-relaxed cell (GGA-PBE, Alexandria).

The 10 most intense peaks (10 to 90 degrees two-theta), in order of rising 2θ:
- 2θ = 16.7°, d = 5.319 Å, I 67.4
- 2θ = 20.3°, d = 4.384 Å, I 38.7
- 2θ = 30.3°, d = 2.947 Å, I 50.1
- 2θ = 31.8°, d = 2.810 Å, I 97.0
- 2θ = 33.7°, d = 2.660 Å, I 77.7
- 2θ = 34.2°, d = 2.620 Å, I 88.9
- 2θ = 37.3°, d = 2.413 Å, I 100.0
- 2θ = 39.0°, d = 2.309 Å, I 32.0
- 2θ = 47.0°, d = 1.932 Å, I 75.8
- 2θ = 62.5°, d = 1.486 Å, I 38.8

```
Tl7HgAu2
1.0
4.6209 -7.0792 0.0000
4.6209 7.0792 0.0000
0.0000 0.0000 5.3193
Tl Hg Au
7 1 2
Cartesian
0.0000 0.0000 0.0000
2.8349 1.7077 0.0000
4.6209 3.1994 2.6596
2.8349 -1.7077 0.0000
6.4069 1.7077 0.0000
4.6209 -3.1994 2.6596
6.4069 -1.7077 0.0000
4.6209 0.0000 2.6596
4.6209 4.2293 0.0000
4.6209 -4.2293 0.0000
```

---

This entry pairs a crystal structure of Rb2HgNCl6 with its calculated X-ray powder pattern. Radiation: Cu Kα (weighted mean of Kα1 and Kα2). Structure: a DFT-relaxed cell (GGA-PBE, Alexandria).

The 10 most intense peaks (10 to 90 degrees two-theta), in order of rising 2θ:
- 2θ = 15.5°, d = 5.734 Å, I 73.1
- 2θ = 24.1°, d = 3.694 Å, I 61.0
- 2θ = 26.0°, d = 3.430 Å, I 100.0
- 2θ = 28.7°, d = 3.105 Å, I 62.2
- 2θ = 34.3°, d = 2.612 Å, I 82.9
- 2θ = 39.6°, d = 2.273 Å, I 28.2
- 2θ = 40.4°, d = 2.234 Å, I 31.5
- 2θ = 43.6°, d = 2.078 Å, I 47.3
- 2θ = 49.3°, d = 1.847 Å, I 26.6
- 2θ = 53.4°, d = 1.715 Å, I 43.1

```
Rb2HgNCl6
1.0
-3.6938 3.6938 4.5469
3.6938 -3.6938 4.5469
3.6938 3.6938 -4.5469
Rb Hg N Cl
2 1 1 6
Cartesian
3.6938 0.0000 2.2735
0.0000 3.6938 2.2735
0.0000 0.0000 0.0000
0.0000 0.0000 4.5469
0.0000 0.0000 2.3887
2.0370 2.0370 0.0000
1.6569 -1.6569 4.5469
-1.6569 1.6569 4.5469
1.6569 1.6569 4.5469
0.0000 0.0000 6.7051
```

---

This entry pairs a crystal structure of Pm2YOs with its calculated X-ray powder pattern. Radiation: Cu Kα (weighted mean of Kα1 and Kα2). Structure: a DFT-relaxed cell (GGA-PBE, Alexandria).

The 10 most intense peaks (10 to 90 degrees two-theta), in order of rising 2θ:
- 2θ = 18.2°, d = 4.873 Å, I 51.7
- 2θ = 30.5°, d = 2.926 Å, I 36.7
- 2θ = 31.8°, d = 2.816 Å, I 100.0
- 2θ = 33.7°, d = 2.663 Å, I 58.9
- 2θ = 33.8°, d = 2.652 Å, I 37.9
- 2θ = 34.0°, d = 2.635 Å, I 72.9
- 2θ = 35.9°, d = 2.499 Å, I 36.0
- 2θ = 37.4°, d = 2.402 Å, I 56.8
- 2θ = 38.2°, d = 2.359 Å, I 38.9
- 2θ = 38.7°, d = 2.324 Å, I 32.5

```
Pm2YOs
1.0
7.4803 0.0000 0.0000
0.0000 9.3992 0.0000
0.0000 0.0000 6.4233
Pm Y Os
8 4 4
Cartesian
1.3115 0.6003 1.0870
1.3115 4.0993 1.0870
2.4287 5.2999 4.2986
2.4287 8.7989 4.2986
5.0516 0.6003 2.1247
5.0516 4.0993 2.1247
6.1688 5.2999 5.3363
6.1688 8.7989 5.3363
0.3112 2.3498 4.0884
3.4290 7.0494 0.8767
4.0513 2.3498 5.5466
7.1691 7.0494 2.3349
0.8666 7.0494 6.1619
2.8735 2.3498 2.9502
4.6067 7.0494 3.4730
6.6137 2.3498 0.2614
```

---

This entry pairs a crystal structure of Mo2NCl7 with its calculated X-ray powder pattern. Radiation: Cu Kα (weighted mean of Kα1 and Kα2). Structure: a DFT-relaxed cell (GGA-PBE, Alexandria).

The 10 most intense peaks (10 to 90 degrees two-theta), in order of rising 2θ:
- 2θ = 12.8°, d = 6.929 Å, I 62.7
- 2θ = 13.6°, d = 6.528 Å, I 100.0
- 2θ = 14.0°, d = 6.321 Å, I 34.7
- 2θ = 18.5°, d = 4.808 Å, I 10.5
- 2θ = 19.5°, d = 4.555 Å, I 14.4
- 2θ = 20.4°, d = 4.354 Å, I 36.0
- 2θ = 25.1°, d = 3.554 Å, I 11.5
- 2θ = 28.7°, d = 3.106 Å, I 13.6
- 2θ = 29.4°, d = 3.039 Å, I 14.1
- 2θ = 39.7°, d = 2.269 Å, I 16.0

```
Mo2NCl7
1.0
9.5545 0.0000 0.0000
-2.6230 10.0568 0.0000
-3.7820 -3.9729 13.0353
Mo N Cl
8 4 28
Cartesian
-1.5978 2.9995 2.9648
-4.3124 5.7970 10.6833
0.5470 -1.9570 8.8213
1.7154 4.5637 3.5567
1.4342 1.5202 9.4786
2.6025 8.0408 4.2139
7.4619 0.2869 2.3520
4.7474 3.0844 10.0705
-3.0770 7.0422 9.7386
0.1721 3.8800 3.2256
2.9775 2.2039 9.8097
6.2265 -0.9583 3.2967
-3.1938 -2.5249 10.6864
-2.2738 4.1488 4.8328
-0.3239 1.6954 1.3374
-4.0861 1.6468 11.6747
-1.0343 1.0828 4.4704
-2.7324 7.5619 6.7210
-2.5847 4.1760 10.0796
-0.8927 -0.0531 8.9569
-3.3991 6.0999 12.7434
1.4859 6.7654 2.3101
0.5894 3.0886 8.0753
2.8309 3.9108 1.6665
0.9935 5.9821 5.3448
3.2797 -0.8110 4.1767
-0.1302 6.8948 8.8586
2.1561 0.1018 7.6905
0.3187 2.1731 11.3688
2.5601 2.9953 4.9600
1.6636 -0.6815 10.7252
6.5486 -0.0161 0.2919
4.0422 6.1369 4.0784
5.7343 1.9078 2.9557
5.8820 -1.4781 6.3143
4.1838 5.0010 8.5649
7.2357 4.4370 1.3606
3.4734 4.3884 11.6979
5.4234 1.9350 8.2025
6.3434 8.6087 2.3489
```

---

This entry pairs a crystal structure of Ca2Ce4Sb3O2 with its calculated X-ray powder pattern. Radiation: Cu Kα (weighted mean of Kα1 and Kα2). Structure: a DFT-relaxed cell (GGA-PBE, Alexandria).

The 10 most intense peaks (10 to 90 degrees two-theta), in order of rising 2θ:
- 2θ = 13.8°, d = 6.427 Å, I 15.1
- 2θ = 19.0°, d = 4.681 Å, I 14.8
- 2θ = 25.5°, d = 3.493 Å, I 16.7
- 2θ = 27.4°, d = 3.256 Å, I 27.1
- 2θ = 30.0°, d = 2.982 Å, I 19.9
- 2θ = 33.9°, d = 2.647 Å, I 100.0
- 2θ = 37.8°, d = 2.380 Å, I 48.2
- 2θ = 54.5°, d = 1.683 Å, I 16.3
- 2θ = 57.9°, d = 1.592 Å, I 16.0
- 2θ = 65.7°, d = 1.420 Å, I 28.9

```
Ca2Ce4Sb3O2
1.0
-2.3802 2.3802 12.8532
2.3802 -2.3802 12.8532
2.3802 2.3802 -12.8532
Ca Ce Sb O
2 4 3 2
Cartesian
0.0000 0.0000 5.0584
0.0000 0.0000 20.6480
2.3802 0.0000 2.1688
2.3802 0.0000 10.6844
0.0000 2.3802 2.1688
0.0000 2.3802 10.6844
0.0000 0.0000 8.2811
0.0000 0.0000 12.8532
0.0000 0.0000 17.4252
0.0000 0.0000 2.6309
0.0000 0.0000 23.0754
```

---

This entry pairs a crystal structure of CePrVN4 with its calculated X-ray powder pattern. Radiation: Cu Kα (weighted mean of Kα1 and Kα2). Structure: a DFT-relaxed cell (GGA-PBE, Alexandria).

The 10 most intense peaks (10 to 90 degrees two-theta), in order of rising 2θ:
- 2θ = 24.3°, d = 3.658 Å, I 32.5
- 2θ = 31.5°, d = 2.836 Å, I 100.0
- 2θ = 33.1°, d = 2.706 Å, I 32.8
- 2θ = 33.2°, d = 2.697 Å, I 32.5
- 2θ = 42.7°, d = 2.116 Å, I 18.3
- 2θ = 44.0°, d = 2.057 Å, I 32.2
- 2θ = 47.6°, d = 1.910 Å, I 30.6
- 2θ = 56.2°, d = 1.638 Å, I 26.5
- 2θ = 58.2°, d = 1.586 Å, I 20.5
- 2θ = 58.3°, d = 1.582 Å, I 17.7

```
CePrVN4
1.0
2.6966 -6.3487 0.0000
2.6966 6.3487 0.0000
0.0000 0.0000 5.4114
Ce Pr V N
2 2 2 8
Cartesian
2.6966 5.0088 4.0585
2.6966 -5.0088 1.3528
2.6966 1.3960 4.0585
2.6966 -1.3960 1.3528
2.6966 2.9159 1.3528
2.6966 -2.9159 4.0585
1.3483 3.1743 0.0000
1.3483 3.1743 2.7057
2.6966 5.5445 1.3528
2.6966 1.0996 1.3528
1.3483 -3.1743 0.0000
1.3483 -3.1743 2.7057
2.6966 -1.0996 4.0585
2.6966 -5.5445 4.0585
```